[1]
For HfSc2TiN4, a PBE-relaxed structure gives the simulated PXRD pattern in this record (Cu Kα (weighted mean of Kα1 and Kα2)).
No peak broadening, texture or thermal motion is included.

Cell and atoms:
Unit cell a=5.4375 b=3.1498 c=5.4766 alpha=90.00 beta=109.38 gamma=90.00
Positions (direct):
Hf 0.0000 0.0000 0.0000
Sc 0.0000 0.5000 0.5000
Sc 0.5000 0.0000 0.5000
Ti 0.5000 0.5000 0.0000
N 0.2513 0.5000 0.2429
N 0.2566 0.0000 0.7596
N 0.7434 0.0000 0.2404
N 0.7487 0.5000 0.7571

The 10 most intense peaks (2θ from 15° to 90°), by angle:
2theta  I_rel
17.16  39
17.29  33
19.94  24
28.31  21
33.30  21
33.41  23
34.73  26
34.92  77
40.49  100
58.46  31

---

[2]
For Hf8Si2N3, a PBE-relaxed structure gives the simulated PXRD pattern in this record (Cu Kα (weighted mean of Kα1 and Kα2)).
No peak broadening, texture or thermal motion is included.

Cell and atoms:
Unit cell a=7.0316 b=7.0316 c=5.8508 alpha=104.57 beta=104.57 gamma=55.51
Positions (direct):
Hf 0.1006 0.1006 0.9268
Hf 0.1503 0.6500 0.6056
Hf 0.3500 0.8497 0.3944
Hf 0.3983 0.3983 0.1100
Hf 0.6017 0.6017 0.8900
Hf 0.6500 0.1503 0.6056
Hf 0.8497 0.3500 0.3944
Hf 0.8994 0.8994 0.0732
Si 0.2476 0.2476 0.6898
Si 0.7524 0.7524 0.3102
N 0.2674 0.7326 0.0000
N 0.5000 0.5000 0.5000
N 0.7326 0.2674 0.0000

The 10 most intense peaks (2θ from 15° to 90°), by angle:
2theta  I_rel
29.95  54
31.14  48
31.64  100
37.08  69
37.24  35
39.18  52
40.70  93
45.62  21
54.81  39
60.64  27